1.
For NbCrO4, the PBE+U geometry in the Materials Project gives the simulated XRD peak list in this record (Cu Kα, 1.54184 Å).
Neutral-atom scattering factors, no anomalous dispersion.

Structural model:
```
12
Lattice="-3.3495 3.3495 3.0575 3.3495 -3.3495 3.0575 3.3495 3.3495 -3.0575" Properties=species:S:1:pos:R:3 pbc="T T T"
Nb 0.0000 0.0000 0.0000
Nb 0.0000 3.3495 1.5288
Cr 3.3495 0.0000 1.4654
Cr 0.0000 0.0000 2.9942
O 3.3495 1.3300 -0.1135
O 2.0196 3.3495 -1.6423
O 1.3300 0.0000 1.4152
O 3.3495 -1.3076 2.9782
O 3.3495 1.3076 2.9782
O 2.0419 3.3495 1.4494
O 1.3076 0.0000 4.5069
O 0.0000 2.0196 2.9440
```

Principal peaks in the range 5° ≤ 2θ ≤ 70°, low angle first:
2θ/deg	Rel. int.
19.7	15
26.6	100
34.9	63
38.0	15
39.9	9
52.6	61
54.8	17
61.9	12
66.7	20
67.3	12

***

2.
For NbCrO4, the PBE+U geometry in the Materials Project gives the simulated XRD peak list in this record (Cu Kα, 1.54184 Å).
Neutral-atom scattering factors, no anomalous dispersion.

Structural model:
```
24
Lattice="4.5725 0.0000 0.0000 0.0000 11.7943 0.0000 0.0000 0.0000 4.9558" Properties=species:S:1:pos:R:3 pbc="T T T"
Nb 0.0000 2.0228 1.2390
Nb 0.0000 9.7715 3.7169
Nb 2.2862 3.8743 3.7169
Nb 2.2862 7.9199 1.2390
Cr 0.0000 5.1232 1.2390
Cr 0.0000 6.6710 3.7169
Cr 2.2862 0.7739 3.7169
Cr 2.2862 11.0204 1.2390
O 1.0491 3.6459 0.3757
O 1.0491 8.1484 2.8536
O 1.1095 5.1781 2.8957
O 1.1095 6.6161 0.4177
O 1.1767 0.7190 0.4177
O 1.1767 11.0753 2.8957
O 1.2371 2.2512 2.8536
O 1.2371 9.5430 0.3757
O 3.3354 2.2512 4.5802
O 3.3354 9.5430 2.1022
O 3.3957 0.7190 2.0602
O 3.3957 11.0753 4.5381
O 3.4629 5.1781 4.5381
O 3.4629 6.6161 2.0602
O 3.5233 3.6459 2.1022
O 3.5233 8.1484 4.5802
```

Principal peaks in the range 5° ≤ 2θ ≤ 70°, low angle first:
2θ/deg	Rel. int.
23.4	11
27.6	100
30.0	42
35.4	26
36.3	13
47.7	24
54.0	35
54.6	19
60.1	11
64.7	13